Diffraction record for TlCuMoSeS2. The XRD peak list is calculated, not measured: it uses a cell relaxed with GGA-PBE and Cu Kα X-rays.

Structure:
Lattice parameters (Å, degrees): 7.795 7.795 9.664 90.00 90.00 154.65
Fractional positions:
1 Tl 0.244 0.756 0.750
2 Tl 0.756 0.244 0.250
3 Cu 0.457 0.543 0.250
4 Cu 0.543 0.457 0.750
5 Mo 0.000 0.000 0.000
6 Mo 0.000 0.000 0.500
7 Se 0.072 0.928 0.250
8 Se 0.928 0.072 0.750
9 S 0.386 0.614 0.046
10 S 0.386 0.614 0.454
11 S 0.614 0.386 0.546
12 S 0.614 0.386 0.954

Top 8 peaks for 10 to 90 degrees two-theta, in order of rising 2θ:
18.36°, 4.832 Å, intensity 32
21.79°, 4.078 Å, intensity 46
23.39°, 3.803 Å, intensity 29
32.92°, 2.721 Å, intensity 100
37.22°, 2.416 Å, intensity 34
40.17°, 2.245 Å, intensity 30
42.47°, 2.128 Å, intensity 34
57.73°, 1.597 Å, intensity 24

=====

Diffraction record for ZnCuSnMo. The XRD peak list is calculated, not measured: it uses a cell relaxed with GGA-PBE and Cu Kα X-rays.

Structure:
Lattice parameters (Å, degrees): 4.533 4.533 4.533 60.00 60.00 60.00
Fractional positions:
1 Zn 0.000 0.000 0.000
2 Cu 0.500 0.500 0.500
3 Sn 0.250 0.250 0.250
4 Mo 0.750 0.750 0.750

Top 8 peaks for 10 to 90 degrees two-theta, in order of rising 2θ:
24.05°, 3.701 Å, intensity 1
27.84°, 3.205 Å, intensity 6
39.77°, 2.266 Å, intensity 100
49.24°, 1.850 Å, intensity 2
57.51°, 1.602 Å, intensity 17
65.08°, 1.433 Å, intensity 3
72.20°, 1.308 Å, intensity 33
85.74°, 1.133 Å, intensity 11

=====

Diffraction record for TaCu6Mo. The XRD peak list is calculated, not measured: it uses a cell relaxed with GGA-PBE and Cu Kα X-rays.

Structure:
Lattice parameters (Å, degrees): 4.265 5.456 4.452 90.00 90.00 90.00
Fractional positions:
1 Ta 0.000 0.000 0.000
2 Cu 0.000 0.256 0.506
3 Cu 0.000 0.500 0.023
4 Cu 0.000 0.744 0.506
5 Cu 0.500 0.000 0.655
6 Cu 0.500 0.252 0.182
7 Cu 0.500 0.748 0.182
8 Mo 0.500 0.500 0.690

Top 8 peaks for 10 to 90 degrees two-theta, in order of rising 2θ:
38.71°, 2.326 Å, intensity 28
42.39°, 2.132 Å, intensity 39
44.36°, 2.042 Å, intensity 100
45.99°, 1.973 Å, intensity 47
58.74°, 1.572 Å, intensity 16
72.51°, 1.304 Å, intensity 14
78.92°, 1.213 Å, intensity 17
87.75°, 1.112 Å, intensity 19

=====

Diffraction record for Tl2CuMo. The XRD peak list is calculated, not measured: it uses a cell relaxed with GGA-PBE and Cu Kα X-rays.

Structure:
Lattice parameters (Å, degrees): 4.914 4.914 4.914 60.00 60.00 60.00
Fractional positions:
1 Tl 0.000 0.000 0.000
2 Tl 0.250 0.250 0.250
3 Cu 0.750 0.750 0.750
4 Mo 0.500 0.500 0.500

Top 8 peaks for 10 to 90 degrees two-theta, in order of rising 2θ:
22.15°, 4.013 Å, intensity 19
36.57°, 2.457 Å, intensity 100
43.17°, 2.095 Å, intensity 11
52.68°, 1.737 Å, intensity 18
57.83°, 1.594 Å, intensity 5
65.83°, 1.419 Å, intensity 36
77.73°, 1.229 Å, intensity 11
89.10°, 1.099 Å, intensity 17

=====

Diffraction record for Cu3N. The XRD peak list is calculated, not measured: it uses a cell relaxed with GGA-PBE and Cu Kα X-rays.

Structure:
Lattice parameters (Å, degrees): 6.198 6.198 6.198 90.00 90.00 90.00
Fractional positions:
1 Cu 0.041 0.123 0.790
2 Cu 0.123 0.790 0.041
3 Cu 0.210 0.541 0.377
4 Cu 0.290 0.459 0.877
5 Cu 0.377 0.210 0.541
6 Cu 0.459 0.877 0.290
7 Cu 0.541 0.377 0.210
8 Cu 0.623 0.710 0.959
9 Cu 0.710 0.959 0.623
10 Cu 0.790 0.041 0.123
11 Cu 0.877 0.290 0.459
12 Cu 0.959 0.623 0.710
13 N 0.126 0.374 0.626
14 N 0.374 0.626 0.126
15 N 0.626 0.126 0.374
16 N 0.874 0.874 0.874

Top 8 peaks for 10 to 90 degrees two-theta, in order of rising 2θ:
20.26°, 4.382 Å, intensity 71
24.88°, 3.578 Å, intensity 42
32.30°, 2.772 Å, intensity 33
35.48°, 2.530 Å, intensity 18
43.82°, 2.066 Å, intensity 100
46.33°, 1.960 Å, intensity 52
48.73°, 1.869 Å, intensity 18
63.71°, 1.461 Å, intensity 17

=====

Diffraction record for Cu3N. The XRD peak list is calculated, not measured: it uses a cell relaxed with GGA-PBE and Cu Kα X-rays.

Structure:
Lattice parameters (Å, degrees): 3.817 3.817 3.817 90.00 90.00 90.00
Fractional positions:
1 Cu 0.000 0.000 0.500
2 Cu 0.000 0.500 0.000
3 Cu 0.500 0.000 0.000
4 N 0.000 0.000 0.000

Top 8 peaks for 10 to 90 degrees two-theta, in order of rising 2θ:
23.30°, 3.817 Å, intensity 63
33.19°, 2.699 Å, intensity 22
40.95°, 2.204 Å, intensity 100
47.65°, 1.909 Å, intensity 60
53.69°, 1.707 Å, intensity 22
69.67°, 1.350 Å, intensity 34
84.11°, 1.151 Å, intensity 33
88.79°, 1.102 Å, intensity 12